Record 1
Computed powder diffraction line list
Compound: TaV5C6
Radiation: Cu Kα (weighted mean of Kα1 and Kα2)
Structure: a cell relaxed with GGA-PBE
Peak positions follow from Bragg's law for the DFT cell and can differ from measured ones.

Peak list (10 most intense, 5 to 70 degrees two-theta, sorted by position)
Position (°2θ)	Rel. int.
18.2	162
19.8	130
20.7	239
23.3	192
27.0	140
31.5	94
35.2	105
36.8	1000
42.8	854
62.1	513

Cell and atoms:
abc: 5.1802 5.1802 5.1771
angles: 99.59 99.59 120.02
Positions (direct):
Ta: 0.0000 0.0000 0.0000
V: 0.1686 0.8314 0.5000
V: 0.3333 0.6667 0.0000
V: 0.5000 0.5000 0.5000
V: 0.6667 0.3333 0.0000
V: 0.8314 0.1686 0.5000
C: 0.0855 0.4257 0.2562
C: 0.2567 0.2567 0.7467
C: 0.4257 0.0855 0.2562
C: 0.5743 0.9145 0.7438
C: 0.7433 0.7433 0.2533
C: 0.9145 0.5743 0.7438

Record 2
Computed powder diffraction line list
Compound: BaAc2Cd2Pb2
Radiation: Cu Kα (weighted mean of Kα1 and Kα2)
Structure: a cell relaxed with GGA-PBE
Peak positions follow from Bragg's law for the DFT cell and can differ from measured ones.

Peak list (10 most intense, 5 to 70 degrees two-theta, sorted by position)
Position (°2θ)	Rel. int.
17.6	133
28.1	897
30.4	445
33.2	1000
44.0	269
45.6	151
56.2	262
57.1	179
57.6	155
59.3	192

Cell and atoms:
abc: 10.5390 10.5390 10.5390
angles: 29.69 29.69 29.69
Positions (direct):
Ba: 0.0000 0.0000 0.0000
Ac: 0.1319 0.1319 0.1319
Ac: 0.8681 0.8681 0.8681
Cd: 0.4236 0.4236 0.4236
Cd: 0.5764 0.5764 0.5764
Pb: 0.2605 0.2605 0.2605
Pb: 0.7395 0.7395 0.7395

Record 3
Computed powder diffraction line list
Compound: PmPr7Tm2
Radiation: Cu Kα (weighted mean of Kα1 and Kα2)
Structure: a cell relaxed with GGA-PBE
Peak positions follow from Bragg's law for the DFT cell and can differ from measured ones.

Peak list (10 most intense, 5 to 70 degrees two-theta, sorted by position)
Position (°2θ)	Rel. int.
15.0	194
23.0	218
27.6	803
30.2	685
31.7	868
32.5	1000
38.5	515
49.7	346
55.1	223
57.3	189

Cell and atoms:
abc: 7.6974 7.6974 6.2376
angles: 90.00 90.00 100.43
Positions (direct):
Pm: 0.0000 0.0000 0.0000
Pr: 0.1339 0.6349 0.7562
Pr: 0.1651 0.1651 0.5475
Pr: 0.3651 0.8661 0.2438
Pr: 0.5000 0.5000 0.5000
Pr: 0.6349 0.1339 0.7562
Pr: 0.8349 0.8349 0.4525
Pr: 0.8661 0.3651 0.2438
Tm: 0.3368 0.3368 0.0395
Tm: 0.6632 0.6632 0.9605

Record 4
Computed powder diffraction line list
Compound: Pm4PrSm8
Radiation: Cu Kα (weighted mean of Kα1 and Kα2)
Structure: a cell relaxed with GGA-PBE
Peak positions follow from Bragg's law for the DFT cell and can differ from measured ones.

Peak list (10 most intense, 5 to 70 degrees two-theta, sorted by position)
Position (°2θ)	Rel. int.
27.7	165
28.9	308
30.5	1000
32.0	417
38.0	288
48.7	301
51.2	171
54.1	79
57.6	222
58.5	137

Cell and atoms:
abc: 10.2307 10.2307 10.2307
angles: 42.87 42.87 42.87
Positions (direct):
Pm: 0.0000 0.0000 0.0000
Pm: 0.0000 0.5000 0.5000
Pm: 0.5000 0.0000 0.5000
Pm: 0.5000 0.5000 0.0000
Pr: 0.5000 0.5000 0.5000
Sm: 0.1934 0.7504 0.7504
Sm: 0.2178 0.2178 0.2178
Sm: 0.2496 0.2496 0.8066
Sm: 0.2496 0.8066 0.2496
Sm: 0.7504 0.1934 0.7504
Sm: 0.7504 0.7504 0.1934
Sm: 0.7822 0.7822 0.7822
Sm: 0.8066 0.2496 0.2496

Record 5
Computed powder diffraction line list
Compound: ErAlGeO5
Radiation: Cu Kα (weighted mean of Kα1 and Kα2)
Structure: a cell relaxed with GGA-PBE
Peak positions follow from Bragg's law for the DFT cell and can differ from measured ones.

Peak list (10 most intense, 5 to 70 degrees two-theta, sorted by position)
Position (°2θ)	Rel. int.
15.7	230
29.2	758
31.1	1000
31.7	232
34.4	220
41.9	191
47.5	198
48.0	161
56.1	241
60.2	190

Cell and atoms:
abc: 7.2790 8.3694 5.6520
angles: 90.00 90.00 90.00
Positions (direct):
Er: 0.1431 0.1737 0.0000
Er: 0.3569 0.6737 0.0000
Er: 0.6431 0.3263 0.0000
Er: 0.8569 0.8263 0.0000
Al: 0.0000 0.5000 0.2486
Al: 0.0000 0.5000 0.7514
Al: 0.5000 0.0000 0.2486
Al: 0.5000 0.0000 0.7514
Ge: 0.1204 0.8551 0.5000
Ge: 0.3796 0.3551 0.5000
Ge: 0.6204 0.6449 0.5000
Ge: 0.8796 0.1449 0.5000
O: 0.0000 0.0000 0.2834
O: 0.0000 0.0000 0.7166
O: 0.1077 0.7123 0.2509
O: 0.1077 0.7123 0.7491
O: 0.1523 0.4295 0.5000
O: 0.1623 0.4454 0.0000
O: 0.3377 0.9454 0.0000
O: 0.3477 0.9295 0.5000
O: 0.3923 0.2123 0.2509
O: 0.3923 0.2123 0.7491
O: 0.5000 0.5000 0.2834
O: 0.5000 0.5000 0.7166
O: 0.6077 0.7877 0.2509
O: 0.6077 0.7877 0.7491
O: 0.6523 0.0705 0.5000
O: 0.6623 0.0546 0.0000
O: 0.8377 0.5546 0.0000
O: 0.8477 0.5705 0.5000
O: 0.8923 0.2877 0.2509
O: 0.8923 0.2877 0.7491

Record 6
Computed powder diffraction line list
Compound: Ba3Mg2Al2Ga4
Radiation: Cu Kα (weighted mean of Kα1 and Kα2)
Structure: a cell relaxed with GGA-PBE
Peak positions follow from Bragg's law for the DFT cell and can differ from measured ones.

Peak list (10 most intense, 5 to 70 degrees two-theta, sorted by position)
Position (°2θ)	Rel. int.
22.7	149
24.6	337
26.9	563
29.8	1000
33.6	185
39.9	577
50.5	224
53.1	295
59.3	155
66.2	198

Cell and atoms:
abc: 4.5226 4.5226 18.6944
angles: 90.00 90.00 120.00
Positions (direct):
Ba: 0.0000 0.0000 0.0000
Ba: 0.0000 0.0000 0.2749
Ba: 0.0000 0.0000 0.7251
Mg: 0.3333 0.6667 0.5498
Mg: 0.6667 0.3333 0.4502
Al: 0.3333 0.6667 0.1402
Al: 0.6667 0.3333 0.8598
Ga: 0.3333 0.6667 0.3963
Ga: 0.3333 0.6667 0.8636
Ga: 0.6667 0.3333 0.1364
Ga: 0.6667 0.3333 0.6037